Starting from DFT lattice parameters and positions (GGA-PBE), the X-ray powder pattern of Ca3Tl4F10 was simulated for Cu Ka.

Atomic structure:
Cell: 4.506 4.506 31.987 Å, 90.00 90.00 90.00°
Space group I4/mmm (No. 139)
Unique sites:
1 Ca 0.000 0.000 0.000 [2 per cell]
2 Ca 0.000 0.000 0.141 [4 per cell]
3 Tl 0.000 0.000 0.294 [4 per cell]
4 Tl 0.000 0.000 0.430 [4 per cell]
5 F 0.000 0.000 0.071 [4 per cell]
6 F 0.000 0.000 0.213 [4 per cell]
7 F 0.000 0.500 0.000 [4 per cell]
8 F 0.000 0.500 0.140 [8 per cell]

Main lines, low angle first (2θ from 10° to 80°):
2theta	I_rel
19.90	33.4
27.81	100.0
28.00	56.6
36.04	31.7
40.01	38.6
49.06	19.5
49.43	43.3
57.44	19.1